Record 1
# Cs2PuInO6
Computed X-ray powder pattern, Cu Kα X-rays. Input: a structure optimized by DFT (PBE).
Intensities are scaled so that the largest is 100.

Structure:
Unit cell a=8.688 b=8.688 c=8.688 alpha=90.00 beta=90.00 gamma=90.00
Space group Fm-3m (No. 225)
Unique sites:
Cs 0.250 0.250 0.250 [8 per cell]
Pu 0.000 0.000 0.000 [4 per cell]
In 0.000 0.000 0.500 [4 per cell]
O 0.000 0.000 0.236 [24 per cell]

Largest 10 diffraction maxima, by angle, 2θ = 15–90°:
- hkl 1 1 1, 17.68 deg, d 5.016, I = 10
- hkl 2 0 0, 20.44 deg, d 4.344, I = 5
- hkl 2 2 0, 29.07 deg, d 3.072, I = 100
- hkl 3 1 1, 34.23 deg, d 2.620, I = 5
- hkl 4 0 0, 41.58 deg, d 2.172, I = 28
- hkl 4 2 2, 51.53 deg, d 1.774, I = 41
- hkl 4 4 0, 60.26 deg, d 1.536, I = 18
- hkl 6 2 0, 68.27 deg, d 1.374, I = 18
- hkl 4 4 4, 75.87 deg, d 1.254, I = 6
- hkl 6 4 2, 83.21 deg, d 1.161, I = 22



Record 2
# CsInReO6
Computed X-ray powder pattern, Cu Kα X-rays. Input: a structure optimized by DFT (PBE).
Intensities are scaled so that the largest is 100.

Structure:
Unit cell a=5.666 b=9.871 c=6.357 alpha=90.00 beta=90.08 gamma=90.00
Space group C2 (No. 5)
Unique sites:
Cs 0.000 0.000 0.000 [2 per cell]
In 0.000 0.677 0.500 [2 per cell]
Re 0.000 0.324 0.500 [2 per cell]
O 0.096 0.487 0.653 [4 per cell]
O 0.177 0.219 0.685 [4 per cell]
O 0.237 0.803 0.678 [4 per cell]

Largest 10 diffraction maxima, by angle, 2θ = 15–90°:
- hkl 0 2 1, 22.85 deg, d 3.892, I = 100
- hkl 0 0 2, 28.07 deg, d 3.179, I = 15
- hkl 1 3 0, 31.44 deg, d 2.845, I = 25
- hkl 2 0 0, 31.58 deg, d 2.833, I = 12
- hkl 2 2 -1, 39.31 deg, d 2.292, I = 15
- hkl 2 0 -2, 42.67 deg, d 2.119, I = 38
- hkl 0 2 3, 46.65 deg, d 1.947, I = 9
- hkl 1 5 1, 51.06 deg, d 1.789, I = 13
- hkl 2 2 3, 57.43 deg, d 1.605, I = 8
- hkl 1 3 -4, 67.50 deg, d 1.388, I = 9



Record 3
# Cs2InRhO4
Computed X-ray powder pattern, Cu Kα X-rays. Input: a structure optimized by DFT (PBE).
Intensities are scaled so that the largest is 100.

Structure:
Unit cell a=6.121 b=14.010 c=22.441 alpha=90.00 beta=90.00 gamma=90.00
Space group Fddd (No. 70, origin choice 2)
Unique sites:
Cs 0.125 0.125 0.306 [16 per cell]
In 0.125 0.125 0.125 [8 per cell]
Rh 0.125 0.125 0.625 [8 per cell]
O 0.109 0.280 0.864 [32 per cell]

Largest 10 diffraction maxima, by angle, 2θ = 15–90°:
- hkl 0 0 4, 15.80 deg, d 5.610, I = 52
- hkl 1 1 3, 19.78 deg, d 4.487, I = 55
- hkl 0 4 0, 25.43 deg, d 3.503, I = 71
- hkl 1 3 3, 26.81 deg, d 3.326, I = 30
- hkl 0 2 6, 27.03 deg, d 3.299, I = 100
- hkl 1 3 5, 31.27 deg, d 2.861, I = 19
- hkl 2 2 0, 31.91 deg, d 2.804, I = 62
- hkl 2 0 6, 37.99 deg, d 2.369, I = 27
- hkl 2 4 6, 46.27 deg, d 1.962, I = 48
- hkl 2 6 0, 49.07 deg, d 1.856, I = 24